Computed powder X-ray diffraction pattern of Ac6MgHg5 for Cu Kα (weighted mean of Kα1 and Kα2), from a DFT-relaxed cell (GGA-PBE, Alexandria).

Structural model:
Cell: 18.1175 8.1160 5.7263 Å, 90.00 108.32 90.00°
Space group C2/m (No. 12)
Unique sites:
Ac: 0.0000 0.2436 0.0000 (multiplicity 4)
Ac: 0.1687 0.2478 0.6688 (multiplicity 8)
Mg: 0.0000 0.5000 0.5000 (multiplicity 2)
Hg: 0.0000 0.0000 0.5000 (multiplicity 2)
Hg: 0.1572 0.5000 0.1574 (multiplicity 4)
Hg: 0.1661 0.0000 0.1660 (multiplicity 4)

Main lines, low angle first (2θ = 10–80°):
(2 0 -2), 2θ = 31.2°, I 100; (0 4 0), 2θ = 44.7°, I 13; (0 2 3), 2θ = 55.5°, I 33; (6 2 -3), 2θ = 55.6°, I 7; (4 4 2), 2θ = 65.1°, I 10; (2 6 1), 2θ = 73.9°, I 11



Computed powder X-ray diffraction pattern of Ac3Mg9Hg2 for Cu Kα (weighted mean of Kα1 and Kα2), from a DFT-relaxed cell (GGA-PBE, Alexandria).

Structural model:
Cell: 5.1538 10.5726 14.3561 Å, 90.00 90.00 90.00°
Space group Immm (No. 71)
Unique sites:
Ac: 0.0000 0.0000 0.0000 (multiplicity 2)
Ac: 0.0000 0.0000 0.2950 (multiplicity 4)
Mg: 0.0000 0.2841 0.1349 (multiplicity 8)
Mg: 0.0000 0.3574 0.3457 (multiplicity 8)
Mg: 0.0000 0.5000 0.0000 (multiplicity 2)
Hg: 0.0000 0.1763 0.5000 (multiplicity 4)

Main lines, low angle first (2θ = 10–80°):
(1 1 0), 2θ = 19.2°, I 100; (1 2 3), 2θ = 30.6°, I 95; (0 3 3), 2θ = 31.5°, I 99; (1 3 2), 2θ = 33.2°, I 38; (2 0 0), 2θ = 34.8°, I 37; (2 3 3), 2θ = 47.7°, I 36



Computed powder X-ray diffraction pattern of Ac2Mg12Hg5 for Cu Kα (weighted mean of Kα1 and Kα2), from a DFT-relaxed cell (GGA-PBE, Alexandria).

Structural model:
Cell: 10.3451 10.3451 15.0434 Å, 90.00 90.00 120.00°
Space group R-3m (No. 166, hexagonal axes)
Unique sites:
Ac: 0.0000 0.0000 0.1661 (multiplicity 6)
Mg: 0.0000 0.2969 0.5000 (multiplicity 18)
Mg: 0.0011 0.5006 0.6544 (multiplicity 18)
Hg: 0.0000 0.0000 0.4022 (multiplicity 6)
Hg: 0.0000 0.5000 0.0000 (multiplicity 9)

Main lines, low angle first (2θ = 10–80°):
(1 0 1), 2θ = 11.5°, I 48; (1 1 0), 2θ = 17.1°, I 60; (1 1 3), 2θ = 24.7°, I 52; (2 2 0), 2θ = 34.7°, I 100; (0 3 3), 2θ = 35.0°, I 43; (2 0 5), 2θ = 36.0°, I 58